The following is a calculated X-ray powder pattern of TiMnIr2. It was derived from a DFT-relaxed cell (GGA-PBE, the Materials Project), using Cu Kα (weighted mean of Kα1 and Kα2).
Peak positions follow from Bragg's law for the DFT cell and can differ from measured ones.

Top 7 peaks for 2θ = 10–90°, by angle:
- d 3.086, 28.93°, intensity 42
- d 2.182, 41.38°, intensity 100
- d 1.782, 51.28°, intensity 12
- d 1.543, 59.95°, intensity 17
- d 1.380, 67.92°, intensity 17
- d 1.260, 75.46°, intensity 34
- d 1.091, 89.92°, intensity 11

Atomic structure:
```
TiMnIr2
1.0
6.172 0.000 0.000
0.000 6.172 0.000
0.000 0.000 6.172
Ti Mn Ir
4 4 8
Direct
0.000 0.000 0.000 Ti
0.000 0.500 0.500 Ti
0.500 0.000 0.500 Ti
0.500 0.500 0.000 Ti
0.000 0.000 0.500 Mn
0.000 0.500 0.000 Mn
0.500 0.000 0.000 Mn
0.500 0.500 0.500 Mn
0.250 0.250 0.250 Ir
0.250 0.250 0.750 Ir
0.250 0.750 0.250 Ir
0.250 0.750 0.750 Ir
0.750 0.250 0.250 Ir
0.750 0.250 0.750 Ir
0.750 0.750 0.250 Ir
0.750 0.750 0.750 Ir
```

The following is a calculated X-ray powder pattern of MoIr3. It was derived from a DFT-relaxed cell (GGA-PBE, the Materials Project), using Cu Kα (weighted mean of Kα1 and Kα2).
Peak positions follow from Bragg's law for the DFT cell and can differ from measured ones.

Top 8 peaks for 2θ = 10–90°, by angle:
- d 2.402, 37.44°, intensity 24
- d 2.212, 40.80°, intensity 25
- d 2.111, 42.85°, intensity 100
- d 1.627, 56.57°, intensity 15
- d 1.387, 67.55°, intensity 17
- d 1.257, 75.69°, intensity 19
- d 1.175, 82.02°, intensity 21
- d 1.159, 83.39°, intensity 15

Atomic structure:
```
MoIr3
1.0
5.547 0.000 0.000
-2.773 4.804 0.000
0.000 0.000 4.423
Mo Ir
2 6
Direct
0.333 0.667 0.250 Mo
0.667 0.333 0.750 Mo
0.166 0.333 0.750 Ir
0.166 0.834 0.750 Ir
0.333 0.166 0.250 Ir
0.667 0.834 0.750 Ir
0.834 0.166 0.250 Ir
0.834 0.667 0.250 Ir
```

Number 1 is which compound?
TiMnIr2